1.
Computed powder X-ray diffraction pattern of PmDy6Tl4 for Cu Kα, 1.54184 Å, from the PBE geometry in Alexandria.
Intensities are scaled so that the largest is 100.

Top 10 peaks for 10° ≤ 2θ ≤ 90°, most intense first:
2θ/deg	I (rel.)	hkl
34.47	100.0	2 1 3
34.73	71.3	1 1 4
35.29	60.0	3 0 1
53.77	44.4	4 1 3
26.61	43.1	2 1 1
32.39	40.2	2 2 0
27.45	36.4	2 0 2
13.63	33.4	1 0 1
36.34	33.1	3 1 0
45.16	29.2	2 2 4

Cell and atoms:
Unit cell a=7.8178 b=7.8178 c=11.6865 alpha=90.00 beta=90.00 gamma=90.00
Space group I-42m (No. 121)
Unique sites:
Pm: 0.0000 0.0000 0.0000 (multiplicity 2)
Dy: 0.0000 0.5000 0.0000 (multiplicity 4)
Dy: 0.1845 0.1845 0.7116 (multiplicity 8)
Tl: 0.1747 0.1747 0.4289 (multiplicity 8)

---

2.
Computed powder X-ray diffraction pattern of Ho4Ni2Ag for Cu Kα, 1.54184 Å, from the PBE geometry in Alexandria.
Intensities are scaled so that the largest is 100.

Top 10 peaks for 10° ≤ 2θ ≤ 90°, most intense first:
2θ/deg	I (rel.)	hkl
34.23	100.0	1 5 -1
29.99	68.8	2 2 -2
33.02	63.8	1 3 -2
37.12	63.6	2 4 0
34.09	47.2	3 1 -1
32.91	35.9	1 3 1
29.85	31.9	2 2 0
35.45	27.8	0 2 2
27.60	27.5	1 1 1
41.94	26.0	2 2 -3

Cell and atoms:
Unit cell a=8.2719 b=14.2763 c=6.7947 alpha=90.00 beta=127.13 gamma=90.00
Space group Cc (No. 9)
Unique sites:
Ho: 0.0000 0.0273 0.0000 (multiplicity 4)
Ho: 0.2393 0.3210 0.6593 (multiplicity 4)
Ho: 0.4256 0.2370 0.3401 (multiplicity 4)
Ho: 0.4803 0.0324 0.6457 (multiplicity 4)
Ni: 0.1387 0.1572 0.3641 (multiplicity 4)
Ni: 0.2365 0.4048 0.0373 (multiplicity 4)
Ag: 0.2396 0.1334 0.8283 (multiplicity 4)

---

3.
Computed powder X-ray diffraction pattern of Pm2SiSe6 for Cu Kα, 1.54184 Å, from the PBE geometry in Alexandria.
Intensities are scaled so that the largest is 100.

Top 10 peaks for 10° ≤ 2θ ≤ 90°, most intense first:
2θ/deg	I (rel.)	hkl
36.21	100.0	2 2 -1
39.13	90.3	0 2 3
31.20	89.6	0 2 2
34.21	79.3	1 0 -4
38.87	77.3	1 3 0
32.46	61.2	2 0 0
30.57	59.8	2 1 -3
19.83	58.3	1 1 0
20.40	56.6	1 1 -2
29.79	55.2	2 1 -1

Cell and atoms:
Unit cell a=6.9224 b=7.6593 c=10.8490 alpha=90.00 beta=127.16 gamma=90.00
Space group P2_1/c (No. 14)
Unique sites:
Pm: 0.2189 0.1083 0.2491 (multiplicity 4)
Si: 0.5000 0.0000 0.0000 (multiplicity 2)
Se: 0.1424 0.1695 0.9413 (multiplicity 4)
Se: 0.2757 0.7126 0.9437 (multiplicity 4)
Se: 0.3746 0.0333 0.7415 (multiplicity 4)